Entry 1:
# SrCu4Br
Theoretical powder diffraction line list, copper Kα. Input: the GGA-PBE geometry in Alexandria.
Peak positions follow from Bragg's law for the DFT cell and can differ from measured ones.

Most intense lines, 2θ = 5–70°, sorted by position:
2θ (°)  I/Imax  index
20.3  9  1 1 1
33.5  343  2 2 0
39.5  1000  3 1 1
41.3  335  2 2 2
48.0  23  4 0 0
59.8  125  4 2 2
63.9  303  5 1 1

Structure:
Cell: 7.575 7.575 7.575 Å, 90.00 90.00 90.00°
Space group F-43m (No. 216)
One atom of each set of equivalent atoms:
Sr (0.000, 0.000, 0.000)
Cu (0.124, 0.124, 0.376)
Br (0.250, 0.250, 0.750)

---

Entry 2:
# Rb3Dy2Br9
Theoretical powder diffraction line list, copper Kα. Input: the GGA-PBE geometry in Alexandria.
Peak positions follow from Bragg's law for the DFT cell and can differ from measured ones.

Most intense lines, 2θ = 5–70°, sorted by position:
2θ (°)  I/Imax  index
12.9  411  1 1 0
22.5  154  3 0 0
27.1  151  0 0 6
29.4  1000  2 2 3
37.9  387  2 2 6
45.8  320  6 0 0
49.4  219  2 2 9
55.4  146  4 4 3

Structure:
Cell: 13.7133 13.7133 19.7104 Å, 90.00 90.00 120.00°
Space group R-3c (No. 167, hexagonal axes)
One atom of each set of equivalent atoms:
Rb (0.0000, 0.3304, 0.2500)
Dy (0.0000, 0.0000, 0.1507)
Br (0.0000, 0.1571, 0.7500)
Br (0.0100, 0.1815, 0.4116)

---

Entry 3:
# Na3Tl3AgBr8
Theoretical powder diffraction line list, copper Kα. Input: the GGA-PBE geometry in Alexandria.
Peak positions follow from Bragg's law for the DFT cell and can differ from measured ones.

Most intense lines, 2θ = 5–70°, sorted by position:
2θ (°)  I/Imax  index
12.3  556  1 1 0
28.2  1000  2 2 -2
28.4  458  4 0 0
30.6  206  2 2 1
39.4  499  4 0 -4
41.2  186  0 4 0
41.6  346  6 2 -2
50.8  203  4 4 0

Structure:
Cell: 14.998 8.770 9.173 Å, 90.00 123.14 90.00°
Space group C2/m (No. 12)
One atom of each set of equivalent atoms:
Na (0.000, 0.000, 0.000)
Na (0.250, 0.250, 0.000)
Tl (0.000, 0.500, 0.500)
Tl (0.250, 0.250, 0.500)
Ag (0.000, 0.500, 0.000)
Br (0.011, 0.259, 0.790)
Br (0.214, 0.500, 0.195)
Br (0.239, 0.000, 0.216)

---

Entry 4:
# ZrPd2PtAu2
Theoretical powder diffraction line list, copper Kα. Input: the GGA-PBE geometry in Alexandria.
Peak positions follow from Bragg's law for the DFT cell and can differ from measured ones.

Most intense lines, 2θ = 5–70°, sorted by position:
2θ (°)  I/Imax  index
37.8  1000  1 2 -1
37.9  797  2 0 1
38.5  688  0 0 3
39.1  749  2 0 -2
39.6  337  1 2 1
41.4  286  0 2 2
46.5  483  1 2 2
61.9  222  3 2 0

Structure:
Cell: 5.400 5.562 7.095 Å, 90.00 99.00 90.00°
Space group P2_1/m (No. 11)
One atom of each set of equivalent atoms:
Zr (0.185, 0.250, 0.187)
Pd (0.002, 0.250, 0.510)
Pd (0.493, 0.750, 0.491)
Pt (0.167, 0.750, 0.132)
Au (0.319, 0.002, 0.815)

---

Entry 5:
# AcZrPd
Theoretical powder diffraction line list, copper Kα. Input: the GGA-PBE geometry in Alexandria.
Peak positions follow from Bragg's law for the DFT cell and can differ from measured ones.

Most intense lines, 2θ = 5–70°, sorted by position:
2θ (°)  I/Imax  index
28.8  1000  1 2 1
29.5  497  0 3 0
29.7  437  0 0 2
31.6  389  2 1 0
35.8  438  0 2 2
36.0  601  2 2 0
42.7  583  2 0 2
55.0  378  1 5 1

Structure:
Cell: 5.966 9.075 6.017 Å, 90.00 90.00 90.00°
Space group Pcca (No. 54)
One atom of each set of equivalent atoms:
Ac (0.000, 0.163, 0.250)
Zr (0.250, 0.500, 0.083)
Pd (0.000, 0.257, 0.750)

---

Entry 6:
# Ba2CdGaBr
Theoretical powder diffraction line list, copper Kα. Input: the GGA-PBE geometry in Alexandria.
Peak positions follow from Bragg's law for the DFT cell and can differ from measured ones.

Most intense lines, 2θ = 5–70°, sorted by position:
2θ (°)  I/Imax  index
21.6  178  1 0 1
25.9  1000  1 1 1
28.5  824  2 0 0
32.9  282  0 0 2
40.7  310  2 2 0
44.1  536  2 0 2
48.9  347  3 1 1
53.3  278  2 2 2

Structure:
Cell: 6.265 6.265 5.448 Å, 90.00 90.00 90.00°
Space group P4/mmm (No. 123)
One atom of each set of equivalent atoms:
Ba (0.000, 0.500, 0.000)
Cd (0.000, 0.000, 0.500)
Ga (0.500, 0.500, 0.500)
Br (0.500, 0.500, 0.000)

---

Entry 7:
# KHfS2
Theoretical powder diffraction line list, copper Kα. Input: the GGA-PBE geometry in Alexandria.
Peak positions follow from Bragg's law for the DFT cell and can differ from measured ones.

Most intense lines, 2θ = 5–70°, sorted by position:
2θ (°)  I/Imax  index
11.7  1000  0 0 3
23.5  223  0 0 6
28.2  344  1 0 1
29.0  477  0 1 2
34.3  703  0 1 5
39.6  296  1 0 7
42.6  167  0 1 8
49.3  456  1 1 0

Structure:
Cell: 3.6960 3.6960 22.6753 Å, 90.00 90.00 120.00°
Space group R3m (No. 160, hexagonal axes)
One atom of each set of equivalent atoms:
K (0.0000, 0.0000, 0.0000)
Hf (0.0000, 0.0000, 0.8299)
S (0.0000, 0.0000, 0.2294)
S (0.0000, 0.0000, 0.4311)

---

Entry 8:
# Pr3Ho3Er4
Theoretical powder diffraction line list, copper Kα. Input: the GGA-PBE geometry in Alexandria.
Peak positions follow from Bragg's law for the DFT cell and can differ from measured ones.

Most intense lines, 2θ = 5–70°, sorted by position:
2θ (°)  I/Imax  index
29.8  323  0 2 4
29.9  324  0 4 2
30.8  318  1 2 2
32.2  1000  1 1 3
38.8  114  1 4 2
49.6  126  2 0 0
55.4  97  1 4 6
58.9  191  2 4 2

Structure:
Cell: 3.679 13.329 13.415 Å, 90.00 90.00 90.00°
Space group Amm2 (No. 38)
One atom of each set of equivalent atoms:
Pr (0.000, 0.000, 0.000)
Pr (0.000, 0.175, 0.673)
Ho (0.000, 0.000, 0.348)
Ho (0.500, 0.245, 0.421)
Er (0.500, 0.000, 0.547)
Er (0.500, 0.000, 0.798)
Er (0.500, 0.124, 0.177)